[1]
Computed X-ray powder pattern
Compound: Rb2LiNb2Te2O12
Radiation: Cu Kα
Structure: a DFT-relaxed cell (GGA-PBE, Alexandria)
Kinematic intensities with the Lorentz-polarization factor, no thermal factor.

Principal peaks in the range 2θ = 10–90°, sorted by position:
2θ 14.60, I 53
2θ 28.08, I 100
2θ 28.21, I 24
2θ 28.93, I 34
2θ 29.45, I 34
2θ 44.82, I 30
2θ 49.16, I 30
2θ 50.75, I 19
2θ 58.05, I 29
2θ 68.70, I 14

Structural model:
abc: 7.4136 7.4136 7.5093
angles: 119.55 119.55 60.00
Positions (direct):
Rb  0.1643  0.1643  0.0005
Rb  0.8357  0.8357  0.9995
Li  0.0000  0.0000  0.5000
Nb  0.0000  0.5000  0.5000
Nb  0.5000  0.0000  0.5000
Te  0.5000  0.5000  0.0000
Te  0.5000  0.5000  0.5000
O  0.1732  0.5740  0.4214
O  0.1818  0.1818  0.4273
O  0.1915  0.5641  0.8159
O  0.4260  0.8268  0.5786
O  0.4297  0.4297  0.1746
O  0.4359  0.8085  0.1841
O  0.5641  0.1915  0.8159
O  0.5703  0.5703  0.8254
O  0.5740  0.1732  0.4214
O  0.8085  0.4359  0.1841
O  0.8182  0.8182  0.5727
O  0.8268  0.4260  0.5786


[2]
Computed X-ray powder pattern
Compound: PuPtCl
Radiation: Cu Kα
Structure: a DFT-relaxed cell (GGA-PBE, Alexandria)
Kinematic intensities with the Lorentz-polarization factor, no thermal factor.

Principal peaks in the range 2θ = 10–90°, sorted by position:
2θ 10.00, I 91
2θ 24.98, I 72
2θ 34.09, I 35
2θ 38.29, I 38
2θ 38.51, I 100
2θ 46.64, I 34
2θ 53.62, I 20
2θ 61.87, I 19
2θ 63.67, I 20
2θ 81.04, I 24

Structural model:
abc: 3.8952 3.8952 8.8444
angles: 90.00 90.00 90.00
Positions (direct):
Pu  0.2500  0.2500  0.2472
Pu  0.7500  0.7500  0.7528
Pt  0.2500  0.7500  0.0000
Pt  0.7500  0.2500  0.0000
Cl  0.2500  0.2500  0.6222
Cl  0.7500  0.7500  0.3778


[3]
Computed X-ray powder pattern
Compound: Ge2PdPt4
Radiation: Cu Kα
Structure: a DFT-relaxed cell (GGA-PBE, Alexandria)
Kinematic intensities with the Lorentz-polarization factor, no thermal factor.

Principal peaks in the range 2θ = 10–90°, sorted by position:
2θ 16.34, I 22
2θ 34.45, I 100
2θ 37.05, I 26
2θ 40.17, I 19
2θ 41.93, I 34
2θ 42.47, I 16
2θ 43.64, I 39
2θ 45.39, I 29
2θ 48.94, I 16
2θ 73.76, I 14

Structural model:
abc: 7.6740 7.6740 3.9960
angles: 90.00 90.00 90.00
Positions (direct):
Ge  0.2364  0.2364  0.0000
Ge  0.2636  0.7364  0.5000
Ge  0.7364  0.2636  0.5000
Ge  0.7636  0.7636  0.0000
Pd  0.0000  0.0000  0.0000
Pd  0.5000  0.5000  0.5000
Pt  0.0536  0.3150  0.5000
Pt  0.1850  0.5536  0.0000
Pt  0.3150  0.0536  0.5000
Pt  0.4464  0.8150  0.0000
Pt  0.5536  0.1850  0.0000
Pt  0.6850  0.9464  0.5000
Pt  0.8150  0.4464  0.0000
Pt  0.9464  0.6850  0.5000


[4]
Computed X-ray powder pattern
Compound: TlAg5Cl7
Radiation: Cu Kα
Structure: a DFT-relaxed cell (GGA-PBE, Alexandria)
Kinematic intensities with the Lorentz-polarization factor, no thermal factor.

Principal peaks in the range 2θ = 10–90°, sorted by position:
2θ 23.54, I 49
2θ 25.81, I 36
2θ 26.91, I 100
2θ 28.32, I 27
2θ 29.13, I 66
2θ 30.43, I 45
2θ 31.70, I 49
2θ 32.92, I 34
2θ 43.59, I 39
2θ 53.05, I 27

Structural model:
abc: 4.1687 6.8490 22.9066
angles: 89.98 90.00 77.42
Positions (direct):
Tl  0.1367  0.1306  0.2499
Tl  0.8633  0.8694  0.7501
Ag  0.0000  0.5000  0.0000
Ag  0.0000  0.5000  0.5000
Ag  0.2972  0.9242  0.9294
Ag  0.2977  0.9237  0.5707
Ag  0.3911  0.6184  0.1445
Ag  0.3908  0.6188  0.3555
Ag  0.6092  0.3812  0.6445
Ag  0.6089  0.3816  0.8555
Ag  0.7023  0.0763  0.4293
Ag  0.7028  0.0758  0.0706
Cl  0.0801  0.3489  0.1059
Cl  0.0800  0.3491  0.3943
Cl  0.2515  0.1194  0.8362
Cl  0.2516  0.1191  0.6638
Cl  0.3481  0.7772  0.0316
Cl  0.3480  0.7774  0.4684
Cl  0.4853  0.4809  0.2500
Cl  0.5147  0.5191  0.7500
Cl  0.6520  0.2226  0.5316
Cl  0.6519  0.2228  0.9684
Cl  0.7484  0.8809  0.3362
Cl  0.7485  0.8806  0.1638
Cl  0.9200  0.6509  0.6057
Cl  0.9199  0.6511  0.8941


[5]
Computed X-ray powder pattern
Compound: Tm4ThGa15
Radiation: Cu Kα
Structure: a DFT-relaxed cell (GGA-PBE, Alexandria)
Kinematic intensities with the Lorentz-polarization factor, no thermal factor.

Principal peaks in the range 2θ = 10–90°, sorted by position:
2θ 20.85, I 14
2θ 29.48, I 12
2θ 36.38, I 100
2θ 41.93, I 16
2θ 42.42, I 33
2θ 61.18, I 21
2θ 61.55, I 11
2θ 72.97, I 11
2θ 73.65, I 25
2θ 77.28, I 10

Structural model:
abc: 4.2614 4.2614 21.5440
angles: 90.00 90.00 90.00
Positions (direct):
Tm  0.0000  0.0000  0.0979
Tm  0.0000  0.0000  0.2944
Tm  0.0000  0.0000  0.7056
Tm  0.0000  0.0000  0.9021
Th  0.0000  0.0000  0.5000
Ga  0.0000  0.5000  0.0000
Ga  0.0000  0.5000  0.1963
Ga  0.0000  0.5000  0.3932
Ga  0.0000  0.5000  0.6068
Ga  0.0000  0.5000  0.8037
Ga  0.5000  0.0000  0.0000
Ga  0.5000  0.0000  0.1963
Ga  0.5000  0.0000  0.3932
Ga  0.5000  0.0000  0.6068
Ga  0.5000  0.0000  0.8037
Ga  0.5000  0.5000  0.0984
Ga  0.5000  0.5000  0.2969
Ga  0.5000  0.5000  0.5000
Ga  0.5000  0.5000  0.7031
Ga  0.5000  0.5000  0.9016


[6]
Computed X-ray powder pattern
Compound: Sn2Bi2PtS2
Radiation: Cu Kα
Structure: a DFT-relaxed cell (GGA-PBE, Alexandria)
Kinematic intensities with the Lorentz-polarization factor, no thermal factor.

Principal peaks in the range 2θ = 10–90°, sorted by position:
2θ 11.68, I 42
2θ 14.15, I 36
2θ 17.20, I 14
2θ 29.47, I 49
2θ 30.30, I 100
2θ 37.46, I 14
2θ 40.17, I 16
2θ 41.40, I 19
2θ 41.69, I 19
2θ 46.41, I 18

Structural model:
abc: 3.9134 6.5970 7.8721
angles: 79.15 75.91 73.07
Positions (direct):
Sn  0.2408  0.3539  0.1683
Sn  0.7592  0.6461  0.8317
Bi  0.0504  0.1424  0.7536
Bi  0.9496  0.8576  0.2464
Pt  0.5000  0.0000  0.0000
S  0.3190  0.7498  0.6063
S  0.6810  0.2502  0.3937


[7]
Computed X-ray powder pattern
Compound: PmEuZnSb
Radiation: Cu Kα
Structure: a DFT-relaxed cell (GGA-PBE, Alexandria)
Kinematic intensities with the Lorentz-polarization factor, no thermal factor.

Principal peaks in the range 2θ = 10–90°, sorted by position:
2θ 20.27, I 2
2θ 23.45, I 6
2θ 33.40, I 100
2θ 41.21, I 2
2θ 47.95, I 18
2θ 54.04, I 3
2θ 59.69, I 37
2θ 70.16, I 11
2θ 79.96, I 16
2θ 89.47, I 4

Structural model:
abc: 5.3658 5.3658 5.3658
angles: 60.00 60.00 60.00
Positions (direct):
Pm  0.0000  0.0000  0.0000
Eu  0.5000  0.5000  0.5000
Zn  0.7500  0.7500  0.7500
Sb  0.2500  0.2500  0.2500


[8]
Computed X-ray powder pattern
Compound: Pm3Si3Pd
Radiation: Cu Kα
Structure: a DFT-relaxed cell (GGA-PBE, Alexandria)
Kinematic intensities with the Lorentz-polarization factor, no thermal factor.

Principal peaks in the range 2θ = 10–90°, sorted by position:
2θ 26.42, I 43
2θ 29.24, I 15
2θ 31.90, I 100
2θ 32.09, I 56
2θ 36.24, I 17
2θ 41.06, I 20
2θ 42.03, I 23
2θ 44.79, I 19
2θ 50.33, I 15
2θ 56.15, I 23

Structural model:
abc: 9.6280 9.6280 9.6280
angles: 155.73 154.19 35.72
Positions (direct):
Pm  0.0000  0.0000  0.0000
Pm  0.1872  0.6872  0.5000
Pm  0.3687  0.3687  0.0000
Si  0.5406  0.5406  0.0000
Si  0.7490  0.2490  0.5000
Si  0.8275  0.8275  0.0000
Pd  0.6196  0.1196  0.5000


[9]
Computed X-ray powder pattern
Compound: Cs2BaCd6
Radiation: Cu Kα
Structure: a DFT-relaxed cell (GGA-PBE, Alexandria)
Kinematic intensities with the Lorentz-polarization factor, no thermal factor.

Principal peaks in the range 2θ = 10–90°, sorted by position:
2θ 26.94, I 100
2θ 33.79, I 20
2θ 33.91, I 39
2θ 37.60, I 15
2θ 43.75, I 18
2θ 43.88, I 9
2θ 51.49, I 35
2θ 56.37, I 8
2θ 56.54, I 16
2θ 61.57, I 9

Structural model:
abc: 9.1797 9.1797 4.7840
angles: 90.00 90.00 120.23
Positions (direct):
Cs  0.1666  0.8334  0.0000
Cs  0.8334  0.1666  0.0000
Ba  0.5000  0.5000  0.0000
Cd  0.1695  0.1695  0.5000
Cd  0.1692  0.5000  0.5000
Cd  0.5000  0.1692  0.5000
Cd  0.5000  0.8308  0.5000
Cd  0.8308  0.5000  0.5000
Cd  0.8305  0.8305  0.5000


[10]
Computed X-ray powder pattern
Compound: KNaTeH6O6
Radiation: Cu Kα
Structure: a DFT-relaxed cell (GGA-PBE, Alexandria)
Kinematic intensities with the Lorentz-polarization factor, no thermal factor.

Principal peaks in the range 2θ = 10–90°, sorted by position:
2θ 15.14, I 67
2θ 20.01, I 33
2θ 25.19, I 77
2θ 26.38, I 55
2θ 30.55, I 24
2θ 33.33, I 100
2θ 45.84, I 23
2θ 49.13, I 22
2θ 51.15, I 25
2θ 54.30, I 19

Structural model:
abc: 6.7577 6.7577 8.8744
angles: 90.00 90.00 120.00
Positions (direct):
K  0.3333  0.6667  0.0000
K  0.6667  0.3333  0.5000
Na  0.3333  0.6667  0.4285
Na  0.6667  0.3333  0.9285
Te  0.0000  0.0000  0.4853
Te  0.0000  0.0000  0.9853
H  0.0298  0.6100  0.7077
H  0.0499  0.3878  0.7036
H  0.3379  0.9501  0.7036
H  0.3878  0.0499  0.2036
H  0.3900  0.4197  0.7077
H  0.4197  0.3900  0.2077
H  0.5803  0.9702  0.7077
H  0.6100  0.0298  0.2077
H  0.6122  0.6621  0.7036
H  0.6621  0.6122  0.2036
H  0.9501  0.3379  0.2036
H  0.9702  0.5803  0.2077
O  0.0063  0.4775  0.2683
O  0.1158  0.8277  0.5803
O  0.1723  0.2880  0.5803
O  0.2880  0.1723  0.0803
O  0.4713  0.9937  0.2683
O  0.4775  0.0063  0.7683
O  0.5225  0.5287  0.2683
O  0.5287  0.5225  0.7683
O  0.7120  0.8842  0.5803
O  0.8277  0.1158  0.0803
O  0.8842  0.7120  0.0803
O  0.9937  0.4713  0.7683


[11]
Computed X-ray powder pattern
Compound: SmPa2Pt9
Radiation: Cu Kα
Structure: a DFT-relaxed cell (GGA-PBE, Alexandria)
Kinematic intensities with the Lorentz-polarization factor, no thermal factor.

Principal peaks in the range 2θ = 10–90°, sorted by position:
2θ 14.21, I 1
2θ 37.30, I 100
2θ 43.24, I 33
2θ 43.55, I 16
2θ 62.81, I 11
2θ 63.05, I 22
2θ 75.38, I 27
2θ 75.82, I 13
2θ 79.53, I 11

Structural model:
abc: 4.1847 4.1847 12.4688
angles: 90.00 90.00 90.00
Positions (direct):
Sm  0.0000  0.0000  0.0000
Pa  0.0000  0.0000  0.3320
Pa  0.0000  0.0000  0.6680
Pt  0.0000  0.5000  0.1708
Pt  0.0000  0.5000  0.5000
Pt  0.0000  0.5000  0.8292
Pt  0.5000  0.0000  0.1708
Pt  0.5000  0.0000  0.5000
Pt  0.5000  0.0000  0.8292
Pt  0.5000  0.5000  0.0000
Pt  0.5000  0.5000  0.3340
Pt  0.5000  0.5000  0.6660


[12]
Computed X-ray powder pattern
Compound: Pm4PrSi2
Radiation: Cu Kα
Structure: a DFT-relaxed cell (GGA-PBE, Alexandria)
Kinematic intensities with the Lorentz-polarization factor, no thermal factor.

Principal peaks in the range 2θ = 10–90°, sorted by position:
2θ 25.19, I 55
2θ 28.43, I 88
2θ 29.69, I 100
2θ 33.64, I 96
2θ 36.06, I 30
2θ 37.35, I 30
2θ 44.27, I 26
2θ 51.13, I 59
2θ 53.46, I 31
2θ 67.28, I 25

Structural model:
abc: 9.9275 9.9275 4.0918
angles: 90.00 90.00 90.00
Positions (direct):
Pm  0.1044  0.3294  0.0000
Pm  0.1706  0.6044  0.5000
Pm  0.3294  0.1044  0.0000
Pm  0.3956  0.8294  0.5000
Pm  0.6044  0.1706  0.5000
Pm  0.6706  0.8956  0.0000
Pm  0.8294  0.3956  0.5000
Pm  0.8956  0.6706  0.0000
Pr  0.0000  0.0000  0.5000
Pr  0.5000  0.5000  0.0000
Si  0.1662  0.8338  0.0000
Si  0.3338  0.3338  0.5000
Si  0.6662  0.6662  0.5000
Si  0.8338  0.1662  0.0000